# Ba3Y2O6
Computed X-ray powder pattern, copper Kα. Input: the GGA-PBE geometry in Alexandria.
Intensities are scaled so that the largest is 100.

Main lines, by angle (2θ from 15° to 90°):
- 2θ 27.6, d 3.230, intensity 26.7
- 2θ 28.3, d 3.152, intensity 100.0
- 2θ 28.6, d 3.125, intensity 40.9
- 2θ 29.7, d 3.003, intensity 35.4
- 2θ 34.4, d 2.608, intensity 35.5
- 2θ 36.2, d 2.484, intensity 35.0
- 2θ 47.8, d 1.904, intensity 19.1
- 2θ 50.4, d 1.810, intensity 19.4
- 2θ 50.8, d 1.796, intensity 16.9
- 2θ 59.2, d 1.561, intensity 29.5

Structure:
a b c (Å): 12.501 18.253 3.593
angles (deg): 90.00 90.00 90.00
Element x y z (fractional)
Ba  0.108  0.151  0.000
Ba  0.132  0.551  0.000
Ba  0.147  0.768  0.000
Ba  0.353  0.268  0.000
Ba  0.368  0.051  0.000
Ba  0.392  0.651  0.000
Ba  0.608  0.349  0.000
Ba  0.632  0.949  0.000
Ba  0.647  0.732  0.000
Ba  0.853  0.232  0.000
Ba  0.868  0.449  0.000
Ba  0.892  0.849  0.000
Y  0.117  0.359  0.500
Y  0.128  0.958  0.500
Y  0.372  0.458  0.500
Y  0.383  0.859  0.500
Y  0.617  0.141  0.500
Y  0.628  0.542  0.500
Y  0.872  0.042  0.500
Y  0.883  0.641  0.500
O  0.000  0.000  0.000
O  0.000  0.500  0.500
O  0.015  0.339  0.000
O  0.053  0.849  0.500
O  0.198  0.257  0.500
O  0.211  0.065  0.500
O  0.249  0.415  0.000
O  0.251  0.915  0.000
O  0.289  0.565  0.500
O  0.302  0.757  0.500
O  0.447  0.349  0.500
O  0.485  0.839  0.000
O  0.500  0.000  0.500
O  0.500  0.500  0.000
O  0.515  0.161  0.000
O  0.553  0.651  0.500
O  0.698  0.243  0.500
O  0.711  0.435  0.500
O  0.749  0.085  0.000
O  0.751  0.585  0.000
O  0.789  0.935  0.500
O  0.802  0.743  0.500
O  0.947  0.151  0.500
O  0.985  0.661  0.000

# Ba5Yb8Zn4O21
Computed X-ray powder pattern, copper Kα. Input: the GGA-PBE geometry in Alexandria.
Intensities are scaled so that the largest is 100.

Main lines, by angle (2θ from 15° to 90°):
- 2θ 27.9, d 3.199, intensity 43.1
- 2θ 28.7, d 3.109, intensity 14.6
- 2θ 30.8, d 2.906, intensity 100.0
- 2θ 31.2, d 2.865, intensity 40.5
- 2θ 35.9, d 2.502, intensity 34.8
- 2θ 37.7, d 2.384, intensity 14.1
- 2θ 42.9, d 2.107, intensity 16.9
- 2θ 45.9, d 1.975, intensity 19.6
- 2θ 49.8, d 1.833, intensity 11.4
- 2θ 55.3, d 1.662, intensity 19.4

Structure:
a b c (Å): 10.240 10.240 10.240
angles (deg): 94.49 94.49 147.51
Element x y z (fractional)
Ba  0.000  0.000  0.000
Ba  0.140  0.534  0.674
Ba  0.466  0.140  0.607
Ba  0.534  0.860  0.393
Ba  0.860  0.466  0.326
Yb  0.167  0.250  0.417
Yb  0.250  0.833  0.083
Yb  0.359  0.411  0.770
Yb  0.411  0.641  0.051
Yb  0.589  0.359  0.949
Yb  0.641  0.589  0.230
Yb  0.750  0.167  0.917
Yb  0.833  0.750  0.583
Zn  0.042  0.750  0.792
Zn  0.250  0.042  0.292
Zn  0.750  0.958  0.708
Zn  0.958  0.250  0.208
O  0.012  0.901  0.406
O  0.035  0.373  0.407
O  0.069  0.293  0.867
O  0.099  0.505  0.111
O  0.202  0.069  0.776
O  0.293  0.427  0.224
O  0.373  0.965  0.338
O  0.393  0.988  0.889
O  0.427  0.202  0.133
O  0.495  0.607  0.594
O  0.500  0.500  0.000
O  0.505  0.393  0.406
O  0.573  0.798  0.867
O  0.607  0.012  0.111
O  0.627  0.035  0.662
O  0.707  0.573  0.776
O  0.798  0.931  0.224
O  0.901  0.495  0.889
O  0.931  0.707  0.133
O  0.965  0.627  0.593
O  0.988  0.099  0.594

# BaZn6O6
Computed X-ray powder pattern, copper Kα. Input: the GGA-PBE geometry in Alexandria.
Intensities are scaled so that the largest is 100.

Main lines, by angle (2θ from 15° to 90°):
- 2θ 15.1, d 5.868, intensity 36.1
- 2θ 26.3, d 3.388, intensity 28.3
- 2θ 30.5, d 2.934, intensity 47.8
- 2θ 34.2, d 2.624, intensity 85.7
- 2θ 37.5, d 2.396, intensity 100.0
- 2θ 54.1, d 1.694, intensity 16.3
- 2θ 56.5, d 1.628, intensity 26.2
- 2θ 58.9, d 1.568, intensity 53.9
- 2θ 63.4, d 1.467, intensity 21.4
- 2θ 74.0, d 1.281, intensity 16.8

Structure:
a b c (Å): 5.868 5.868 5.868
angles (deg): 90.00 90.00 90.00
Element x y z (fractional)
Ba  0.000  0.000  0.000
Zn  0.000  0.270  0.500
Zn  0.000  0.730  0.500
Zn  0.270  0.500  0.000
Zn  0.500  0.000  0.270
Zn  0.500  0.000  0.730
Zn  0.730  0.500  0.000
O  0.000  0.500  0.233
O  0.000  0.500  0.767
O  0.233  0.000  0.500
O  0.500  0.233  0.000
O  0.500  0.767  0.000
O  0.767  0.000  0.500

# Ba2ZnO3
Computed X-ray powder pattern, copper Kα. Input: the GGA-PBE geometry in Alexandria.
Intensities are scaled so that the largest is 100.

Main lines, by angle (2θ from 15° to 90°):
- 2θ 23.5, d 3.785, intensity 21.4
- 2θ 28.0, d 3.184, intensity 100.0
- 2θ 29.9, d 2.992, intensity 17.5
- 2θ 30.2, d 2.955, intensity 56.3
- 2θ 32.1, d 2.785, intensity 13.8
- 2θ 32.9, d 2.724, intensity 20.2
- 2θ 37.6, d 2.394, intensity 28.6
- 2θ 49.2, d 1.853, intensity 18.7
- 2θ 50.3, d 1.814, intensity 12.6
- 2θ 58.0, d 1.590, intensity 11.6

Structure:
a b c (Å): 6.424 6.424 6.946
angles (deg): 110.20 110.20 62.61
Element x y z (fractional)
Ba  0.001  0.325  0.192
Ba  0.325  0.001  0.692
Ba  0.675  0.999  0.308
Ba  0.999  0.675  0.808
Zn  0.398  0.602  0.250
Zn  0.602  0.398  0.750
O  0.104  0.896  0.250
O  0.320  0.356  0.559
O  0.356  0.320  0.059
O  0.644  0.680  0.941
O  0.680  0.644  0.441
O  0.896  0.104  0.750

# BaZr2Zn2O7
Computed X-ray powder pattern, copper Kα. Input: the GGA-PBE geometry in Alexandria.
Intensities are scaled so that the largest is 100.

Main lines, by angle (2θ from 15° to 90°):
- 2θ 25.4, d 3.512, intensity 37.2
- 2θ 25.9, d 3.446, intensity 85.1
- 2θ 31.6, d 2.835, intensity 100.0
- 2θ 32.0, d 2.798, intensity 75.1
- 2θ 38.9, d 2.315, intensity 43.5
- 2θ 42.3, d 2.136, intensity 48.3
- 2θ 43.6, d 2.077, intensity 44.2
- 2θ 50.3, d 1.815, intensity 26.7
- 2θ 55.1, d 1.668, intensity 31.9
- 2θ 62.4, d 1.489, intensity 27.8

Structure:
a b c (Å): 9.727 9.727 9.727
angles (deg): 155.34 154.63 35.67
Element x y z (fractional)
Ba  0.000  0.000  0.000
Zr  0.386  0.386  0.000
Zr  0.614  0.614  0.000
Zn  0.234  0.734  0.500
Zn  0.766  0.266  0.500
O  0.120  0.620  0.500
O  0.267  0.267  0.000
O  0.392  0.892  0.500
O  0.500  0.500  0.000
O  0.608  0.108  0.500
O  0.733  0.733  0.000
O  0.880  0.380  0.500

# Ba2ZrZn2O6
Computed X-ray powder pattern, copper Kα. Input: the GGA-PBE geometry in Alexandria.
Intensities are scaled so that the largest is 100.

Main lines, by angle (2θ from 15° to 90°):
- 2θ 27.2, d 3.279, intensity 14.9
- 2θ 29.4, d 3.039, intensity 100.0
- 2θ 31.6, d 2.828, intensity 72.4
- 2θ 40.5, d 2.229, intensity 16.2
- 2θ 43.7, d 2.070, intensity 29.4
- 2θ 52.1, d 1.755, intensity 19.8
- 2θ 53.6, d 1.711, intensity 35.6
- 2θ 58.1, d 1.588, intensity 16.3
- 2θ 61.0, d 1.520, intensity 18.3
- 2θ 70.3, d 1.339, intensity 13.9

Structure:
a b c (Å): 6.598 6.598 6.598
angles (deg): 54.86 54.86 54.86
Element x y z (fractional)
Ba  0.216  0.216  0.216
Ba  0.784  0.784  0.784
Zr  0.000  0.000  0.000
Zn  0.418  0.418  0.418
Zn  0.582  0.582  0.582
O  0.229  0.764  0.764
O  0.236  0.236  0.771
O  0.236  0.771  0.236
O  0.764  0.229  0.764
O  0.764  0.764  0.229
O  0.771  0.236  0.236

# Ba3ZrO5
Computed X-ray powder pattern, copper Kα. Input: the GGA-PBE geometry in Alexandria.
Intensities are scaled so that the largest is 100.

Main lines, by angle (2θ from 15° to 90°):
- 2θ 27.6, d 3.229, intensity 30.3
- 2θ 27.8, d 3.213, intensity 100.0
- 2θ 28.3, d 3.152, intensity 34.1
- 2θ 33.9, d 2.641, intensity 27.8
- 2θ 34.3, d 2.615, intensity 41.4
- 2θ 38.1, d 2.362, intensity 10.9
- 2θ 44.8, d 2.024, intensity 23.8
- 2θ 49.8, d 1.831, intensity 22.2
- 2θ 50.9, d 1.792, intensity 18.9
- 2θ 55.2, d 1.664, intensity 14.0

Structure:
a b c (Å): 8.224 8.224 8.224
angles (deg): 125.98 125.98 79.93
Element x y z (fractional)
Ba  0.184  0.684  0.868
Ba  0.250  0.250  0.000
Ba  0.316  0.184  0.500
Ba  0.684  0.816  0.500
Ba  0.750  0.750  0.000
Ba  0.816  0.316  0.132
Zr  0.250  0.750  0.500
Zr  0.750  0.250  0.500
O  0.000  0.000  0.000
O  0.006  0.802  0.500
O  0.198  0.698  0.203
O  0.302  0.506  0.500
O  0.494  0.994  0.797
O  0.500  0.500  0.000
O  0.506  0.006  0.203
O  0.698  0.494  0.500
O  0.802  0.302  0.797
O  0.994  0.198  0.500

# Ba3Zr2O7
Computed X-ray powder pattern, copper Kα. Input: the GGA-PBE geometry in Alexandria.
Intensities are scaled so that the largest is 100.

Main lines, by angle (2θ from 15° to 90°):
- 2θ 29.1, d 3.065, intensity 100.0
- 2θ 29.7, d 3.009, intensity 59.7
- 2θ 38.6, d 2.330, intensity 12.3
- 2θ 40.8, d 2.209, intensity 13.5
- 2θ 42.5, d 2.128, intensity 35.9
- 2θ 51.3, d 1.781, intensity 17.3
- 2θ 52.3, d 1.748, intensity 39.3
- 2θ 60.4, d 1.533, intensity 15.8
- 2θ 61.6, d 1.504, intensity 12.0
- 2θ 76.6, d 1.243, intensity 10.9

Structure:
a b c (Å): 11.449 11.449 11.449
angles (deg): 158.58 158.58 30.48
Element x y z (fractional)
Ba  0.000  0.000  0.000
Ba  0.186  0.186  0.000
Ba  0.814  0.814  0.000
Zr  0.402  0.402  0.000
Zr  0.598  0.598  0.000
O  0.096  0.596  0.500
O  0.307  0.307  0.000
O  0.404  0.904  0.500
O  0.500  0.500  0.000
O  0.596  0.096  0.500
O  0.693  0.693  0.000
O  0.904  0.404  0.500